Er2Ni3Sn2: simulated powder XRD pattern (Cu Kα), based on a crystal structure in Alexandria, relaxed with PBE.
Peak positions follow from Bragg's law for the DFT cell and can differ from measured ones.

Largest 10 diffraction maxima, in order of rising 2θ, 5 to 70 degrees two-theta:
(2 2 0), 2θ = 30.57°, 2.925 Å, I 100; (3 1 0), 2θ = 34.28°, 2.616 Å, I 15; (2 2 2), 2θ = 37.67°, 2.388 Å, I 24; (3 1 2), 2θ = 40.82°, 2.211 Å, I 30; (4 0 0), 2θ = 43.77°, 2.068 Å, I 37; (3 3 2), 2θ = 51.84°, 1.764 Å, I 11; (4 2 2), 2θ = 54.33°, 1.689 Å, I 30; (5 1 2), 2θ = 61.39°, 1.510 Å, I 9; (4 4 0), 2θ = 63.63°, 1.462 Å, I 18; (6 0 0), 2θ = 68.00°, 1.379 Å, I 8

Crystal structure
Lattice parameters (Å, degrees): 8.272 8.272 8.272 90.00 90.00 90.00
Space group I2_13 (No. 199)
Unique sites:
Er: 0.247 0.247 0.247 [8 per cell]
Ni: 0.000 0.250 0.034 [12 per cell]
Sn: 0.042 0.458 0.542 [8 per cell]